This entry pairs a crystal structure of HfAl6Fe6 with its theoretical powder diffraction line list. Radiation: CuKα. Structure: the PBE geometry in the Materials Project.
Lines closer than 0.1° are merged.

```
HfAl6Fe6
1.0
-2.476 4.206 4.267
2.476 -4.206 4.267
2.476 4.206 -4.267
Hf Al Fe
1 6 6
direct
0.000 0.000 0.000 Hf
0.184 0.684 0.500 Al
0.335 0.000 0.335 Al
0.344 0.344 0.000 Al
0.656 0.656 0.000 Al
0.665 0.000 0.665 Al
0.816 0.316 0.500 Al
0.000 0.000 0.500 Fe
0.000 0.500 0.000 Fe
0.239 0.500 0.739 Fe
0.500 0.000 0.000 Fe
0.500 0.500 0.500 Fe
0.761 0.500 0.261 Fe
```

Top 12 peaks for 2θ from 10° to 90°, low angle first:
2θ/deg  I/Imax
14.8  80
20.8  41
29.6  36
29.8  100
36.8  27
42.2  78
42.4  80
42.5  76
42.7  40
43.0  48
47.7  30
61.8  32

---

This entry pairs a crystal structure of Tb3Co with its theoretical powder diffraction line list. Radiation: CuKα. Structure: the PBE geometry in the Materials Project.
Lines closer than 0.1° are merged.

```
Tb3Co
1.0
6.957 0.000 0.000
0.000 9.450 0.000
0.000 0.000 6.329
Tb Co
12 4
direct
0.045 0.250 0.131 Tb
0.178 0.065 0.674 Tb
0.178 0.435 0.674 Tb
0.322 0.565 0.174 Tb
0.322 0.935 0.174 Tb
0.455 0.750 0.631 Tb
0.545 0.250 0.369 Tb
0.678 0.065 0.826 Tb
0.678 0.435 0.826 Tb
0.822 0.565 0.326 Tb
0.822 0.935 0.326 Tb
0.955 0.750 0.869 Tb
0.106 0.750 0.450 Co
0.394 0.250 0.950 Co
0.606 0.750 0.050 Co
0.894 0.250 0.550 Co
```

Top 12 peaks for 2θ from 10° to 90°, low angle first:
2θ/deg  I/Imax
30.8  44
31.0  51
31.7  100
31.9  59
32.5  73
34.3  45
35.0  63
49.1  26
53.9  26
54.7  24
57.3  48
58.4  26

---

This entry pairs a crystal structure of Mn3Sb with its theoretical powder diffraction line list. Radiation: CuKα. Structure: the PBE geometry in the Materials Project.
Lines closer than 0.1° are merged.

```
Mn3Sb
1.0
0.000 2.994 2.994
2.994 0.000 2.994
2.994 2.994 0.000
Mn Sb
3 1
direct
0.000 0.000 0.000 Mn
0.250 0.250 0.250 Mn
0.750 0.750 0.750 Mn
0.500 0.500 0.500 Sb
```

Top 10 peaks for 2θ from 10° to 90°, low angle first:
2θ/deg  I/Imax
25.8  13
29.8  7
42.7  100
50.6  7
53.0  2
62.0  15
68.3  3
70.3  3
78.2  30
84.0  2

---

This entry pairs a crystal structure of MgZr3 with its theoretical powder diffraction line list. Radiation: CuKα. Structure: the PBE geometry in the Materials Project.
Lines closer than 0.1° are merged.

```
MgZr3
1.0
4.475 0.000 0.000
0.000 4.475 0.000
0.000 0.000 4.475
Mg Zr
1 3
direct
0.000 0.000 0.000 Mg
0.000 0.500 0.500 Zr
0.500 0.000 0.500 Zr
0.500 0.500 0.000 Zr
```

Top 12 peaks for 2θ from 10° to 90°, low angle first:
2θ/deg  I/Imax
19.8  15
28.2  13
34.7  100
40.3  49
45.3  7
49.9  5
58.3  32
62.2  3
69.7  37
73.3  11
80.3  2
87.1  5

---

This entry pairs a crystal structure of K2TcH9 with its theoretical powder diffraction line list. Radiation: CuKα. Structure: the PBE geometry in the Materials Project.
Lines closer than 0.1° are merged.

```
K2TcH9
1.0
9.605 0.000 0.000
-4.802 8.318 0.000
0.000 0.000 5.597
K Tc H
6 3 27
direct
0.000 0.262 0.000 K
0.000 0.589 0.500 K
0.262 0.000 0.000 K
0.411 0.411 0.500 K
0.589 0.000 0.500 K
0.738 0.738 0.000 K
0.000 0.000 0.500 Tc
0.333 0.667 0.000 Tc
0.667 0.333 0.000 Tc
0.000 0.172 0.500 H
0.000 0.873 0.289 H
0.000 0.873 0.711 H
0.127 0.127 0.289 H
0.127 0.127 0.711 H
0.146 0.632 0.000 H
0.172 0.000 0.500 H
0.225 0.534 0.218 H
0.225 0.534 0.782 H
0.308 0.775 0.218 H
0.308 0.775 0.782 H
0.368 0.514 0.000 H
0.466 0.692 0.218 H
0.466 0.692 0.782 H
0.486 0.854 0.000 H
0.514 0.368 0.000 H
0.534 0.225 0.218 H
0.534 0.225 0.782 H
0.632 0.146 0.000 H
0.692 0.466 0.218 H
0.692 0.466 0.782 H
0.775 0.308 0.218 H
0.775 0.308 0.782 H
0.828 0.828 0.500 H
0.854 0.486 0.000 H
0.873 0.000 0.289 H
0.873 0.000 0.711 H
```

Top 12 peaks for 2θ from 10° to 90°, low angle first:
2θ/deg  I/Imax
18.5  59
19.1  49
24.4  49
26.7  100
28.4  16
32.0  29
32.3  48
32.7  56
46.1  35
50.1  16
50.5  32
60.8  18

---

This entry pairs a crystal structure of ThP7 with its theoretical powder diffraction line list. Radiation: CuKα. Structure: the PBE geometry in the Materials Project.
Lines closer than 0.1° are merged.

```
ThP7
1.0
5.633 0.000 0.000
0.000 10.261 0.000
0.000 0.000 10.456
Th P
4 28
direct
0.137 0.011 0.331 Th
0.363 0.989 0.831 Th
0.637 0.489 0.669 Th
0.863 0.511 0.169 Th
0.010 0.759 0.499 P
0.049 0.768 0.714 P
0.059 0.051 0.051 P
0.137 0.559 0.740 P
0.178 0.746 0.205 P
0.208 0.551 0.948 P
0.228 0.241 0.500 P
0.272 0.759 0.000 P
0.292 0.449 0.448 P
0.322 0.254 0.705 P
0.363 0.441 0.240 P
0.441 0.949 0.551 P
0.451 0.232 0.214 P
0.490 0.241 0.999 P
0.510 0.741 0.501 P
0.549 0.732 0.286 P
0.559 0.449 0.949 P
0.637 0.941 0.260 P
0.678 0.754 0.795 P
0.708 0.949 0.052 P
0.728 0.259 0.500 P
0.772 0.741 0.000 P
0.792 0.051 0.552 P
0.822 0.246 0.295 P
0.863 0.059 0.760 P
0.941 0.551 0.449 P
0.951 0.268 0.786 P
0.990 0.259 0.001 P
```

Top 12 peaks for 2θ from 10° to 90°, low angle first:
2θ/deg  I/Imax
17.3  59
17.9  100
19.1  81
23.2  38
25.0  63
29.1  72
31.4  49
34.1  100
35.0  50
35.4  51
42.4  58
45.0  52

---

This entry pairs a crystal structure of Bi12SbO20 with its theoretical powder diffraction line list. Radiation: CuKα. Structure: the PBE geometry in the Materials Project.
Lines closer than 0.1° are merged.

```
Bi12SbO20
1.0
-5.198 5.198 5.198
5.198 -5.198 5.198
5.198 5.198 -5.198
Bi Sb O
12 1 20
direct
0.141 0.304 0.804 Bi
0.163 0.859 0.663 Bi
0.196 0.500 0.337 Bi
0.304 0.804 0.141 Bi
0.337 0.196 0.500 Bi
0.500 0.337 0.196 Bi
0.500 0.696 0.837 Bi
0.663 0.163 0.859 Bi
0.696 0.837 0.500 Bi
0.804 0.141 0.304 Bi
0.837 0.500 0.696 Bi
0.859 0.663 0.163 Bi
0.000 0.000 0.000 Sb
0.000 0.000 0.224 O
0.000 0.000 0.617 O
0.000 0.224 0.000 O
0.000 0.617 0.000 O
0.118 0.757 0.377 O
0.224 0.000 0.000 O
0.243 0.361 0.620 O
0.259 0.639 0.882 O
0.361 0.620 0.243 O
0.377 0.118 0.757 O
0.380 0.741 0.623 O
0.383 0.383 0.383 O
0.617 0.000 0.000 O
0.620 0.243 0.361 O
0.623 0.380 0.741 O
0.639 0.882 0.259 O
0.741 0.623 0.380 O
0.757 0.377 0.118 O
0.776 0.776 0.776 O
0.882 0.259 0.639 O
```

Top 12 peaks for 2θ from 10° to 90°, low angle first:
2θ/deg  I/Imax
24.2  18
27.1  100
29.8  25
32.2  69
40.7  14
44.4  18
51.2  36
52.8  19
54.4  31
60.4  21
76.7  15
78.0  15

---

This entry pairs a crystal structure of CaNi4Sn2 with its theoretical powder diffraction line list. Radiation: CuKα. Structure: the PBE geometry in the Materials Project.
Lines closer than 0.1° are merged.

```
CaNi4Sn2
1.0
-3.844 3.844 3.953
3.844 -3.844 3.953
3.844 3.844 -3.953
Ca Ni Sn
2 8 4
direct
0.250 0.250 0.000 Ca
0.750 0.750 0.000 Ca
0.026 0.526 0.221 Ni
0.195 0.974 0.500 Ni
0.305 0.805 0.779 Ni
0.474 0.695 0.500 Ni
0.526 0.305 0.500 Ni
0.695 0.195 0.221 Ni
0.805 0.026 0.500 Ni
0.974 0.474 0.779 Ni
0.158 0.342 0.500 Sn
0.342 0.842 0.183 Sn
0.658 0.158 0.817 Sn
0.842 0.658 0.500 Sn
```

Top 12 peaks for 2θ from 10° to 90°, low angle first:
2θ/deg  I/Imax
16.3  37
23.1  9
28.3  15
32.5  11
37.0  54
43.3  100
47.3  17
50.3  23
55.4  8
60.9  12
74.0  9
75.8  26

---

This entry pairs a crystal structure of Th2PNO with its theoretical powder diffraction line list. Radiation: CuKα. Structure: the PBE geometry in the Materials Project.
Lines closer than 0.1° are merged.

```
Th2PNO
1.0
4.037 0.000 0.000
-2.019 3.496 0.000
0.000 0.000 6.864
Th P N O
2 1 1 1
direct
0.000 0.000 0.000 Th
0.333 0.667 0.447 Th
0.667 0.333 0.732 P
0.000 0.000 0.345 N
0.333 0.667 0.091 O
```

Top 12 peaks for 2θ from 10° to 90°, low angle first:
2θ/deg  I/Imax
25.5  21
26.0  24
28.7  100
36.7  26
44.9  28
47.5  25
52.6  22
54.1  18
67.4  9
72.3  7
72.9  15
84.7  10

---

This entry pairs a crystal structure of Sn3Pb with its theoretical powder diffraction line list. Radiation: CuKα. Structure: the PBE geometry in the Materials Project.
Lines closer than 0.1° are merged.

```
Sn3Pb
1.0
6.764 0.000 0.000
-3.382 5.858 0.000
0.000 0.000 5.839
Sn Pb
6 2
direct
0.164 0.328 0.250 Sn
0.164 0.836 0.250 Sn
0.328 0.164 0.750 Sn
0.672 0.836 0.250 Sn
0.836 0.164 0.750 Sn
0.836 0.672 0.750 Sn
0.333 0.667 0.750 Pb
0.667 0.333 0.250 Pb
```

Top 12 peaks for 2θ from 10° to 90°, low angle first:
2θ/deg  I/Imax
21.5  7
30.6  52
34.3  100
43.8  19
54.2  18
56.8  24
63.6  26
63.7  4
65.7  16
72.2  5
82.4  9
88.5  11

---

This entry pairs a crystal structure of Y3Er with its theoretical powder diffraction line list. Radiation: CuKα. Structure: the PBE geometry in the Materials Project.
Lines closer than 0.1° are merged.

```
Y3Er
1.0
7.261 0.000 0.000
-3.631 6.288 0.000
0.000 0.000 5.670
Y Er
6 2
direct
0.168 0.335 0.250 Y
0.168 0.832 0.250 Y
0.335 0.168 0.750 Y
0.665 0.832 0.250 Y
0.832 0.168 0.750 Y
0.832 0.665 0.750 Y
0.333 0.667 0.750 Er
0.667 0.333 0.250 Er
```

Top 12 peaks for 2θ from 10° to 90°, low angle first:
2θ/deg  I/Imax
21.1  8
28.4  24
31.6  24
32.6  100
43.0  15
50.3  19
56.8  20
60.6  22
61.2  16
79.3  7
83.0  13
87.3  8

---

This entry pairs a crystal structure of Mn2CrGa3S8 with its theoretical powder diffraction line list. Radiation: CuKα. Structure: the PBE geometry in the Materials Project.
Lines closer than 0.1° are merged.

```
Mn2CrGa3S8
1.0
12.455 -1.847 0.000
12.455 1.847 0.000
-0.554 0.000 6.453
Mn Cr Ga S
2 1 3 8
direct
0.000 0.000 0.000 Mn
0.500 0.500 0.500 Mn
0.296 0.296 0.769 Cr
0.148 0.148 0.385 Ga
0.648 0.648 0.880 Ga
0.797 0.797 0.263 Ga
0.097 0.097 0.033 S
0.202 0.202 0.732 S
0.332 0.332 0.440 S
0.465 0.465 0.820 S
0.597 0.597 0.530 S
0.703 0.703 0.233 S
0.832 0.832 0.945 S
0.964 0.964 0.320 S
```

Top 12 peaks for 2θ from 10° to 90°, low angle first:
2θ/deg  I/Imax
21.5  100
27.9  49
28.2  26
29.2  24
29.5  47
33.7  25
33.9  49
42.3  28
48.9  57
49.4  29
50.4  47
54.0  30